SrHg: theoretical powder XRD pattern (Cu Kα X-rays), based on a cell relaxed with PBE.
Kinematic intensities with the Lorentz-polarization factor, no thermal factor.

```
SrHg
1.0
9.888 0.000 0.000
0.000 9.888 0.000
0.000 0.000 5.655
Sr Hg
8 8
direct
0.000 0.282 0.000
0.000 0.718 0.000
0.218 0.500 0.500
0.282 0.000 0.000
0.500 0.218 0.500
0.500 0.782 0.500
0.718 0.000 0.000
0.782 0.500 0.500
0.159 0.159 0.500
0.159 0.841 0.500
0.341 0.341 0.000
0.341 0.659 0.000
0.659 0.341 0.000
0.659 0.659 0.000
0.841 0.159 0.500
0.841 0.841 0.500
```

Top 8 peaks for 2θ = 10–90°, sorted by position:
17.94 deg, I = 16
18.07 deg, I = 27
31.41 deg, I = 100
31.65 deg, I = 29
36.40 deg, I = 19
38.63 deg, I = 24
50.77 deg, I = 22
56.22 deg, I = 20

---

LaSm2MgTl4: theoretical powder XRD pattern (Cu Kα X-rays), based on a cell relaxed with PBE.
Kinematic intensities with the Lorentz-polarization factor, no thermal factor.

```
LaSm2MgTl4
1.0
2.673 1.543 9.302
-2.673 1.543 9.302
0.000 -3.087 9.302
La Sm Mg Tl
1 2 1 4
direct
0.000 0.000 0.000
0.241 0.241 0.241
0.759 0.759 0.759
0.500 0.500 0.500
0.125 0.125 0.125
0.378 0.378 0.378
0.622 0.622 0.622
0.875 0.875 0.875
```

Top 8 peaks for 2θ = 10–90°, sorted by position:
23.06 deg, I = 17
32.13 deg, I = 100
33.53 deg, I = 95
47.12 deg, I = 35
56.37 deg, I = 17
59.06 deg, I = 36
59.94 deg, I = 18
79.55 deg, I = 15

---

RbPb: theoretical powder XRD pattern (Cu Kα X-rays), based on a cell relaxed with PBE.
Kinematic intensities with the Lorentz-polarization factor, no thermal factor.

```
RbPb
1.0
8.225 0.000 0.000
0.000 8.225 0.000
0.000 0.000 9.567
Rb Pb
8 8
direct
0.044 0.238 0.362
0.238 0.044 0.638
0.262 0.544 0.112
0.456 0.738 0.388
0.544 0.262 0.888
0.738 0.456 0.612
0.762 0.956 0.138
0.956 0.762 0.862
0.014 0.266 0.917
0.234 0.514 0.667
0.266 0.014 0.083
0.486 0.766 0.833
0.514 0.234 0.333
0.734 0.986 0.583
0.766 0.486 0.167
0.986 0.734 0.417
```

Top 8 peaks for 2θ = 10–90°, sorted by position:
17.85 deg, I = 29
28.62 deg, I = 100
30.05 deg, I = 11
30.73 deg, I = 58
35.78 deg, I = 13
44.03 deg, I = 18
49.33 deg, I = 10
53.37 deg, I = 26

---

Th3SnAs2: theoretical powder XRD pattern (Cu Kα X-rays), based on a cell relaxed with PBE.
Kinematic intensities with the Lorentz-polarization factor, no thermal factor.

```
Th3SnAs2
1.0
4.342 0.000 0.000
0.000 6.158 0.000
0.000 0.000 13.051
Th Sn As
6 2 4
direct
0.000 0.000 0.000
0.000 0.000 0.323
0.000 0.000 0.677
0.500 0.500 0.177
0.500 0.500 0.500
0.500 0.500 0.823
0.000 0.500 0.000
0.500 0.000 0.500
0.000 0.500 0.336
0.000 0.500 0.664
0.500 0.000 0.164
0.500 0.000 0.836
```

Top 8 peaks for 2θ = 10–90°, sorted by position:
25.08 deg, I = 32
29.04 deg, I = 100
41.53 deg, I = 76
49.10 deg, I = 10
51.47 deg, I = 27
68.14 deg, I = 18
68.24 deg, I = 18
75.73 deg, I = 17

---

ThB4Ru: theoretical powder XRD pattern (Cu Kα X-rays), based on a cell relaxed with PBE.
Kinematic intensities with the Lorentz-polarization factor, no thermal factor.

```
ThB4Ru
1.0
6.071 0.000 0.000
0.000 11.773 0.000
0.000 0.000 3.708
Th B Ru
4 16 4
direct
0.128 0.149 0.000
0.372 0.649 0.000
0.628 0.351 0.000
0.872 0.851 0.000
0.026 0.689 0.500
0.110 0.545 0.500
0.141 0.967 0.500
0.217 0.815 0.500
0.283 0.315 0.500
0.359 0.467 0.500
0.390 0.045 0.500
0.474 0.189 0.500
0.526 0.811 0.500
0.610 0.955 0.500
0.641 0.533 0.500
0.717 0.685 0.500
0.783 0.185 0.500
0.859 0.033 0.500
0.890 0.455 0.500
0.974 0.311 0.500
0.139 0.406 0.000
0.361 0.906 0.000
0.639 0.094 0.000
0.861 0.594 0.000
```

Top 8 peaks for 2θ = 10–90°, sorted by position:
24.00 deg, I = 77
27.06 deg, I = 22
30.39 deg, I = 84
36.48 deg, I = 24
39.09 deg, I = 100
41.92 deg, I = 20
44.98 deg, I = 22
58.89 deg, I = 27

---

SmHgPd: theoretical powder XRD pattern (Cu Kα X-rays), based on a cell relaxed with PBE.
Kinematic intensities with the Lorentz-polarization factor, no thermal factor.

```
SmHgPd
1.0
13.544 0.000 0.000
0.000 3.858 0.000
0.000 0.000 7.879
Sm Hg Pd
6 6 6
direct
0.050 0.000 0.239
0.250 0.000 0.830
0.450 0.000 0.239
0.550 0.000 0.761
0.750 0.000 0.170
0.950 0.000 0.761
0.110 0.500 0.571
0.250 0.500 0.181
0.390 0.500 0.571
0.610 0.500 0.429
0.750 0.500 0.819
0.890 0.500 0.429
0.094 0.500 0.937
0.250 0.000 0.446
0.406 0.500 0.937
0.594 0.500 0.063
0.750 0.000 0.554
0.906 0.500 0.063
```

Top 8 peaks for 2θ = 10–90°, sorted by position:
32.55 deg, I = 100
33.17 deg, I = 26
34.97 deg, I = 28
35.15 deg, I = 26
35.27 deg, I = 25
39.70 deg, I = 27
39.94 deg, I = 19
47.10 deg, I = 25

---

CaMnCo: theoretical powder XRD pattern (Cu Kα X-rays), based on a cell relaxed with PBE.
Kinematic intensities with the Lorentz-polarization factor, no thermal factor.

```
CaMnCo
1.0
3.966 0.000 0.000
0.000 10.469 0.000
0.000 0.000 5.349
Ca Mn Co
4 4 4
direct
0.000 0.214 0.250
0.000 0.786 0.750
0.500 0.286 0.750
0.500 0.714 0.250
0.000 0.500 0.000
0.000 0.500 0.500
0.500 0.000 0.000
0.500 0.000 0.500
0.000 0.050 0.750
0.000 0.950 0.250
0.500 0.450 0.250
0.500 0.550 0.750
```

Top 8 peaks for 2θ = 10–90°, sorted by position:
16.94 deg, I = 78
34.25 deg, I = 42
38.27 deg, I = 92
41.63 deg, I = 100
45.76 deg, I = 31
48.65 deg, I = 18
60.84 deg, I = 20
63.08 deg, I = 19

---

ZrCuRe: theoretical powder XRD pattern (Cu Kα X-rays), based on a cell relaxed with PBE.
Kinematic intensities with the Lorentz-polarization factor, no thermal factor.

```
ZrCuRe
1.0
4.654 0.000 0.000
-2.327 4.031 0.000
0.000 0.000 2.634
Zr Cu Re
1 1 1
direct
0.000 0.000 0.000
0.333 0.667 0.407
0.667 0.333 0.596
```

Top 8 peaks for 2θ = 10–90°, sorted by position:
22.05 deg, I = 37
38.69 deg, I = 100
40.93 deg, I = 88
52.46 deg, I = 13
57.58 deg, I = 32
70.03 deg, I = 17
71.54 deg, I = 33
76.01 deg, I = 11

---

NdSm3Er2: theoretical powder XRD pattern (Cu Kα X-rays), based on a cell relaxed with PBE.
Kinematic intensities with the Lorentz-polarization factor, no thermal factor.

```
NdSm3Er2
1.0
7.247 0.000 0.000
3.623 6.277 0.000
1.825 1.046 8.684
Nd Sm Er
2 6 4
direct
0.248 0.252 0.497
0.752 0.748 0.503
0.249 0.752 0.498
0.360 0.361 0.835
0.360 0.861 0.836
0.640 0.139 0.164
0.640 0.639 0.165
0.751 0.248 0.502
0.137 0.140 0.165
0.137 0.641 0.165
0.863 0.359 0.835
0.863 0.860 0.835
```

Top 8 peaks for 2θ = 10–90°, sorted by position:
28.65 deg, I = 36
30.89 deg, I = 51
31.65 deg, I = 100
33.33 deg, I = 91
50.36 deg, I = 39
54.32 deg, I = 21
57.59 deg, I = 20
60.26 deg, I = 46

---

Ta2Pb3: theoretical powder XRD pattern (Cu Kα X-rays), based on a cell relaxed with PBE.
Kinematic intensities with the Lorentz-polarization factor, no thermal factor.

```
Ta2Pb3
1.0
3.202 0.000 0.000
-1.601 2.773 0.000
0.000 0.000 41.831
Ta Pb
6 9
direct
0.000 0.000 0.109
0.000 0.000 0.891
0.333 0.667 0.558
0.333 0.667 0.775
0.667 0.333 0.225
0.667 0.333 0.442
0.000 0.000 0.287
0.000 0.000 0.500
0.000 0.000 0.713
0.333 0.667 0.167
0.333 0.667 0.380
0.333 0.667 0.953
0.667 0.333 0.047
0.667 0.333 0.620
0.667 0.333 0.833
```

Top 8 peaks for 2θ = 10–90°, sorted by position:
34.07 deg, I = 100
38.75 deg, I = 16
38.97 deg, I = 50
43.06 deg, I = 20
57.58 deg, I = 25
60.92 deg, I = 18
71.57 deg, I = 17
71.75 deg, I = 22

---

Pm3Dy2In2: theoretical powder XRD pattern (Cu Kα X-rays), based on a cell relaxed with PBE.
Kinematic intensities with the Lorentz-polarization factor, no thermal factor.

```
Pm3Dy2In2
1.0
4.930 0.000 0.000
0.000 24.159 0.000
0.000 0.000 3.507
Pm Dy In
6 4 4
direct
0.000 0.000 0.000
0.000 0.141 0.000
0.000 0.859 0.000
0.500 0.359 0.000
0.500 0.500 0.000
0.500 0.641 0.000
0.000 0.288 0.500
0.000 0.712 0.500
0.500 0.212 0.500
0.500 0.788 0.500
0.000 0.429 0.500
0.000 0.571 0.500
0.500 0.071 0.500
0.500 0.929 0.500
```

Top 8 peaks for 2θ = 10–90°, sorted by position:
31.52 deg, I = 79
31.64 deg, I = 100
33.90 deg, I = 28
36.46 deg, I = 41
39.37 deg, I = 25
54.73 deg, I = 19
62.30 deg, I = 28
62.57 deg, I = 25

---

AgSn3Au4: theoretical powder XRD pattern (Cu Kα X-rays), based on a cell relaxed with PBE.
Kinematic intensities with the Lorentz-polarization factor, no thermal factor.

```
AgSn3Au4
1.0
8.843 0.000 0.000
0.000 7.637 0.000
0.000 0.000 5.372
Ag Sn Au
2 6 8
direct
0.000 0.103 0.000
0.500 0.897 0.500
0.000 0.499 0.878
0.209 0.849 0.185
0.291 0.151 0.685
0.500 0.501 0.378
0.709 0.151 0.685
0.791 0.849 0.185
0.000 0.216 0.501
0.000 0.597 0.368
0.246 0.323 0.189
0.254 0.677 0.689
0.500 0.403 0.868
0.500 0.784 0.001
0.746 0.677 0.689
0.754 0.323 0.189
```

Top 8 peaks for 2θ = 10–90°, sorted by position:
11.59 deg, I = 23
25.41 deg, I = 23
28.67 deg, I = 69
35.27 deg, I = 80
38.59 deg, I = 26
39.23 deg, I = 100
40.84 deg, I = 58
41.07 deg, I = 27

---

PaFeS: theoretical powder XRD pattern (Cu Kα X-rays), based on a cell relaxed with PBE.
Kinematic intensities with the Lorentz-polarization factor, no thermal factor.

```
PaFeS
1.0
3.628 0.000 0.000
0.000 4.834 0.000
-0.500 0.000 6.095
Pa Fe S
2 2 2
direct
0.231 0.250 0.283
0.769 0.750 0.717
0.110 0.750 0.018
0.890 0.250 0.982
0.327 0.250 0.739
0.673 0.750 0.261
```

Top 8 peaks for 2θ = 10–90°, sorted by position:
23.49 deg, I = 100
27.64 deg, I = 58
29.31 deg, I = 30
30.88 deg, I = 75
37.20 deg, I = 50
41.59 deg, I = 44
44.56 deg, I = 62
46.96 deg, I = 29